1.
Pm8Te4As3Pd: calculated powder XRD pattern (Cu Ka), based on a GGA-PBE-relaxed structure.

The 10 most intense peaks (2θ from 10° to 90°), by intensity:
2θ (°)	d (Å)	Rel. int.
29.0	3.080	100
41.8	2.163	38
41.1	2.194	35
51.6	1.770	20
68.5	1.370	17
67.6	1.385	14
75.8	1.255	12
60.1	1.540	11
76.2	1.249	6
50.6	1.804	5

```
Pm8Te4As3Pd
1.0
4.326 2.497 7.216
-4.326 2.497 7.216
0.000 -4.995 7.216
Pm Te As Pd
8 4 3 1
direct
0.240 0.240 0.240
0.241 0.741 0.741
0.259 0.259 0.759
0.259 0.759 0.259
0.741 0.241 0.741
0.741 0.741 0.241
0.759 0.259 0.259
0.760 0.760 0.760
0.000 0.000 0.000
0.000 0.500 0.500
0.500 0.000 0.500
0.500 0.500 0.000
0.000 0.000 0.500
0.000 0.500 0.000
0.500 0.000 0.000
0.500 0.500 0.500
```

***

2.
PmNp2Pt9: calculated powder XRD pattern (Cu Ka), based on a GGA-PBE-relaxed structure.

The 10 most intense peaks (2θ from 10° to 90°), by intensity:
2θ (°)	d (Å)	Rel. int.
39.0	2.310	100
42.1	2.144	37
38.6	2.332	26
69.6	1.351	24
33.1	2.703	24
63.1	1.473	23
40.5	2.227	22
41.9	2.156	20
40.9	2.209	17
83.7	1.155	17

```
PmNp2Pt9
1.0
2.703 1.560 8.906
-2.703 1.560 8.906
0.000 -3.121 8.906
Pm Np Pt
1 2 9
direct
0.000 0.000 0.000
0.143 0.143 0.143
0.857 0.857 0.857
0.082 0.587 0.587
0.333 0.333 0.333
0.413 0.413 0.918
0.413 0.918 0.413
0.500 0.500 0.500
0.587 0.082 0.587
0.587 0.587 0.082
0.667 0.667 0.667
0.918 0.413 0.413
```

***

3.
Li4TbDy3S8: calculated powder XRD pattern (Cu Ka), based on a GGA-PBE-relaxed structure.

The 10 most intense peaks (2θ from 10° to 90°), by intensity:
2θ (°)	d (Å)	Rel. int.
14.3	6.178	100
32.7	2.738	95
26.7	3.338	71
46.3	1.959	35
35.9	2.503	33
47.5	1.913	32
48.8	1.867	28
28.0	3.186	24
78.9	1.213	21
43.3	2.088	19

```
Li4TbDy3S8
1.0
3.918 2.262 6.178
-3.918 2.262 6.178
0.000 -4.524 6.178
Li Tb Dy S
4 1 3 8
direct
0.000 0.000 0.000
0.000 0.500 0.500
0.500 0.000 0.500
0.500 0.500 0.000
0.500 0.500 0.500
0.000 0.000 0.500
0.000 0.500 0.000
0.500 0.000 0.000
0.249 0.249 0.751
0.249 0.751 0.249
0.249 0.751 0.751
0.250 0.250 0.250
0.750 0.750 0.750
0.751 0.249 0.249
0.751 0.249 0.751
0.751 0.751 0.249
```

***

4.
FeReH2Pt: calculated powder XRD pattern (Cu Ka), based on a GGA-PBE-relaxed structure.

The 10 most intense peaks (2θ from 10° to 90°), by intensity:
2θ (°)	d (Å)	Rel. int.
18.6	4.758	100
35.5	2.527	79
40.4	2.231	61
52.9	1.732	51
37.8	2.379	34
51.1	1.787	29
65.3	1.429	27
54.9	1.673	25
89.1	1.099	14
86.0	1.130	13

```
FeReH2Pt
1.0
3.573 0.000 0.000
0.000 3.573 0.000
0.000 0.000 4.758
Fe Re H Pt
1 1 2 1
direct
0.000 0.000 0.000
0.000 0.000 0.500
0.000 0.500 0.000
0.500 0.000 0.000
0.500 0.500 0.500
```

***

5.
LaTbYEr: calculated powder XRD pattern (Cu Ka), based on a GGA-PBE-relaxed structure.

The 10 most intense peaks (2θ from 10° to 90°), by intensity:
2θ (°)	d (Å)	Rel. int.
31.7	2.822	100
30.5	2.935	28
30.2	2.964	28
54.9	1.672	21
43.4	2.085	21
54.5	1.683	20
66.2	1.411	11
57.4	1.605	9
72.3	1.307	9
47.4	1.917	8

```
LaTbYEr
1.0
6.226 -2.935 0.000
6.226 2.935 0.000
-1.174 0.000 3.650
La Tb Y Er
1 1 1 1
direct
0.000 0.000 0.000
0.738 0.738 0.217
0.261 0.261 0.740
0.500 0.500 0.488
```

***

6.
KH2Pt: calculated powder XRD pattern (Cu Ka), based on a GGA-PBE-relaxed structure.

The 10 most intense peaks (2θ from 10° to 90°), by intensity:
2θ (°)	d (Å)	Rel. int.
18.0	4.916	100
31.5	2.839	44
37.9	2.377	39
36.5	2.459	18
50.0	1.823	13
49.0	1.859	11
46.2	1.963	10
60.4	1.533	10
60.3	1.535	8
50.2	1.819	7

```
KH2Pt
1.0
5.427 0.000 0.000
0.016 5.670 0.000
0.016 0.004 9.847
K H Pt
4 8 4
direct
0.000 0.051 0.308
0.000 0.949 0.692
0.499 0.449 0.808
0.501 0.551 0.192
0.001 0.315 0.535
0.001 0.799 0.973
0.499 0.185 0.035
0.499 0.702 0.473
0.501 0.298 0.527
0.501 0.815 0.965
0.999 0.201 0.027
0.999 0.685 0.465
0.247 0.000 0.000
0.253 0.500 0.500
0.747 0.500 0.500
0.753 0.000 0.000
```

***

7.
TlTe: calculated powder XRD pattern (Cu Ka), based on a GGA-PBE-relaxed structure.

The 10 most intense peaks (2θ from 10° to 90°), by intensity:
2θ (°)	d (Å)	Rel. int.
29.9	2.985	100
24.2	3.685	23
34.7	2.583	23
24.6	3.623	22
59.3	1.558	22
39.6	2.276	18
40.1	2.247	18
29.2	3.059	18
29.5	3.023	17
28.4	3.146	16

```
TlTe
1.0
7.247 0.000 0.000
0.000 10.972 0.000
0.000 0.000 7.369
Tl Te
8 8
direct
0.249 0.071 0.001
0.249 0.429 0.001
0.251 0.571 0.501
0.251 0.929 0.501
0.749 0.071 0.499
0.749 0.429 0.499
0.751 0.571 0.999
0.751 0.929 0.999
0.111 0.250 0.636
0.116 0.750 0.865
0.384 0.250 0.365
0.389 0.750 0.136
0.611 0.250 0.864
0.616 0.750 0.635
0.884 0.250 0.135
0.889 0.750 0.364
```

***

8.
Cs6TeI2Br3: calculated powder XRD pattern (Cu Ka), based on a GGA-PBE-relaxed structure.

The 10 most intense peaks (2θ from 10° to 90°), by intensity:
2θ (°)	d (Å)	Rel. int.
23.4	3.805	100
23.3	3.814	50
33.5	2.672	40
33.0	2.716	39
41.7	2.167	21
32.5	2.752	20
54.2	1.693	20
34.1	2.633	19
47.8	1.902	15
40.9	2.207	11

```
Cs6TeI2Br3
1.0
11.836 -2.633 0.000
11.836 2.633 0.000
-2.813 0.000 10.646
Cs Te I Br
6 1 2 3
direct
0.005 0.005 0.236
0.329 0.329 0.428
0.336 0.336 0.909
0.664 0.664 0.091
0.671 0.671 0.572
0.995 0.995 0.764
0.500 0.500 0.500
0.166 0.166 0.831
0.834 0.834 0.169
0.167 0.167 0.331
0.500 0.500 0.000
0.833 0.833 0.669
```

***

What is the formula in the first record?
Pm8Te4As3Pd